Entry 1:
This entry pairs a crystal structure of Nb3AgO8 with its theoretical X-ray powder pattern. Radiation: Cu Kα X-rays. Structure: DFT lattice parameters and positions (PBE).
Intensities are scaled so that the largest is 100.

Largest 12 diffraction maxima, by angle, 5° ≤ 2θ ≤ 70°:
two_theta	I/Imax	hkl
29.6	100	2 2 0
30.6	85	0 2 2
34.3	19	0 4 0
35.2	42	2 0 2
49.3	13	4 0 0
50.0	53	2 4 2
51.9	15	0 0 4
58.6	11	2 6 0
59.1	44	4 2 2
60.9	24	2 2 4
61.4	10	4 4 0
63.7	8	0 4 4

Unit cell a=7.395 b=10.456 c=7.051 alpha=90.00 beta=90.00 gamma=90.00
Space group Ibam (No. 72)
Unique sites:
Nb: 0.000 0.000 0.250 x4
Nb: 0.247 0.268 0.000 x8
Ag: 0.000 0.500 0.250 x4
O: 0.008 0.331 0.000 x8
O: 0.113 0.071 0.500 x8
O: 0.192 0.143 0.203 x16

Entry 2:
This entry pairs a crystal structure of Nb4Ag2O11 with its theoretical X-ray powder pattern. Radiation: Cu Kα X-rays. Structure: DFT lattice parameters and positions (PBE).
Intensities are scaled so that the largest is 100.

Largest 12 diffraction maxima, by angle, 5° ≤ 2θ ≤ 70°:
two_theta	I/Imax	hkl
28.7	55	0 0 12
29.6	40	1 1 3
32.1	100	2 -1 6
36.1	8	2 -1 9
41.0	11	1 1 12
46.2	4	1 2 5
46.7	10	1 1 15
50.8	32	3 0 0
53.0	27	1 1 18
59.4	35	0 0 24
59.9	10	2 -1 21
61.4	14	2 2 6

Unit cell a=6.2274 b=6.2274 c=37.3821 alpha=90.00 beta=90.00 gamma=120.00
Space group R3 (No. 146, hexagonal axes)
Unique sites:
Nb: 0.0000 0.0000 0.0000 x3
Nb: 0.0000 0.0000 0.5000 x3
Nb: 0.0360 0.3382 0.0807 x9
Nb: 0.0356 0.6979 0.5807 x9
Ag: 0.0000 0.0000 0.1685 x3
Ag: 0.0000 0.0000 0.3256 x3
Ag: 0.0000 0.0000 0.6692 x3
Ag: 0.0000 0.0000 0.8261 x3
O: 0.0000 0.0000 0.0863 x3
O: 0.0000 0.0000 0.3992 x3
O: 0.0000 0.0000 0.5871 x3
O: 0.0000 0.0000 0.8994 x3
O: 0.0014 0.7488 0.7453 x9
O: 0.0018 0.2529 0.2451 x9
O: 0.0241 0.2821 0.0246 x9
O: 0.0258 0.7435 0.5248 x9
O: 0.0891 0.6989 0.6306 x9
O: 0.0905 0.3881 0.1307 x9

Entry 3:
This entry pairs a crystal structure of NbAgSe2O7 with its theoretical X-ray powder pattern. Radiation: Cu Kα X-rays. Structure: DFT lattice parameters and positions (PBE).
Intensities are scaled so that the largest is 100.

Largest 12 diffraction maxima, by angle, 5° ≤ 2θ ≤ 70°:
two_theta	I/Imax	hkl
18.6	10	1 1 1
28.5	100	2 2 0
29.5	84	2 0 2
30.2	23	3 1 1
33.6	60	0 2 2
47.0	11	0 4 0
48.3	44	4 2 2
49.6	14	0 0 4
56.5	28	2 4 2
58.3	25	2 2 4
59.0	9	4 4 0
61.3	8	4 0 4

Unit cell a=10.676 b=7.730 c=7.345 alpha=90.00 beta=90.00 gamma=90.00
Space group Cmcm (No. 63)
Unique sites:
Nb: 0.000 0.000 0.000 x4
Ag: 0.000 0.500 0.000 x4
Se: 0.216 0.267 0.250 x8
O: 0.000 0.086 0.750 x4
O: 0.134 0.173 0.065 x16
O: 0.147 0.465 0.250 x8

Entry 4:
This entry pairs a crystal structure of NbAgSeO with its theoretical X-ray powder pattern. Radiation: Cu Kα X-rays. Structure: DFT lattice parameters and positions (PBE).
Intensities are scaled so that the largest is 100.

Largest 12 diffraction maxima, by angle, 5° ≤ 2θ ≤ 70°:
two_theta	I/Imax	hkl
27.5	40	2 1 0
32.4	76	1 2 0
33.0	100	2 1 1
35.2	75	0 1 2
35.7	38	1 2 -1
36.0	40	1 1 -2
38.0	63	3 1 0
39.9	33	3 1 -1
40.7	57	2 2 -1
45.1	54	3 0 -2
50.2	32	3 0 2
52.1	30	2 2 2

Unit cell a=7.788 b=5.909 c=5.685 alpha=90.00 beta=95.86 gamma=90.00
Space group P2_1/c (No. 14)
Unique sites:
Nb: 0.067 0.025 0.222 x4
Ag: 0.413 0.684 0.100 x4
Se: 0.270 0.112 0.887 x4
O: 0.062 0.714 0.016 x4

Entry 5:
This entry pairs a crystal structure of Nb3AgPb5 with its theoretical X-ray powder pattern. Radiation: Cu Kα X-rays. Structure: DFT lattice parameters and positions (PBE).
Intensities are scaled so that the largest is 100.

Largest 12 diffraction maxima, by angle, 5° ≤ 2θ ≤ 70°:
two_theta	I/Imax	hkl
26.9	83	1 0 2
30.1	37	0 0 3
31.3	100	1 1 0
37.4	23	1 1 2
37.8	29	2 0 1
41.8	75	2 0 2
44.0	32	1 1 3
53.1	26	2 1 2
55.8	20	3 0 0
61.4	19	1 1 5
64.5	15	2 0 5
65.4	23	2 2 0

Unit cell a=5.7115 b=5.7115 c=8.9018 alpha=90.00 beta=90.00 gamma=120.00
Space group P6/mmm (No. 191)
Unique sites:
Nb: 0.0000 0.5000 0.0000 x3
Ag: 0.0000 0.0000 0.5000 x1
Pb: 0.0000 0.0000 0.0000 x1
Pb: 0.3333 0.6667 0.2995 x4

Entry 6:
This entry pairs a crystal structure of Nb2AgPbS4 with its theoretical X-ray powder pattern. Radiation: Cu Kα X-rays. Structure: DFT lattice parameters and positions (PBE).
Intensities are scaled so that the largest is 100.

Largest 12 diffraction maxima, by angle, 5° ≤ 2θ ≤ 70°:
two_theta	I/Imax	hkl
5.2	21	0 0 1
21.0	63	0 0 4
30.6	57	1 0 0
31.1	31	0 1 1
32.4	100	1 0 2
34.6	19	1 0 3
40.8	24	0 1 5
44.7	81	1 0 6
54.4	36	1 1 0
59.0	24	1 1 4
63.7	19	1 0 10
64.8	14	0 2 2

Unit cell a=3.3737 b=3.3737 c=16.8902 alpha=90.00 beta=90.00 gamma=120.00
Space group P-3m1 (No. 164)
Unique sites:
Nb: 0.3333 0.6667 0.2654 x2
Ag: 0.0000 0.0000 0.5000 x1
Pb: 0.0000 0.0000 0.0000 x1
S: 0.0000 0.0000 0.1733 x2
S: 0.0000 0.0000 0.3570 x2

Entry 7:
This entry pairs a crystal structure of NbAg3S3 with its theoretical X-ray powder pattern. Radiation: Cu Kα X-rays. Structure: DFT lattice parameters and positions (PBE).
Intensities are scaled so that the largest is 100.

Largest 12 diffraction maxima, by angle, 5° ≤ 2θ ≤ 70°:
two_theta	I/Imax	hkl
17.6	83	1 1 0
28.4	95	2 1 1
30.7	40	3 0 0
31.9	24	1 1 3
32.4	68	1 2 2
37.1	100	1 0 4
38.1	57	1 3 1
41.3	79	3 1 2
44.9	57	2 2 3
45.2	33	0 4 2
63.8	29	6 0 0
66.8	24	2 2 6

Unit cell a=10.1043 b=10.1043 c=10.1006 alpha=90.00 beta=90.00 gamma=120.00
Space group R3c (No. 161, hexagonal axes)
Unique sites:
Nb: 0.0000 0.0000 0.0000 x6
Ag: 0.0351 0.1822 0.2518 x18
S: 0.0359 0.2426 0.5051 x18

Entry 8:
This entry pairs a crystal structure of NbAgSe2 with its theoretical X-ray powder pattern. Radiation: Cu Kα X-rays. Structure: DFT lattice parameters and positions (PBE).
Intensities are scaled so that the largest is 100.

Largest 12 diffraction maxima, by angle, 5° ≤ 2θ ≤ 70°:
two_theta	I/Imax	hkl
22.0	11	0 0 6
30.1	83	1 0 1
30.8	56	0 1 2
33.4	73	1 0 4
35.3	29	0 1 5
39.8	100	1 0 7
42.5	66	0 1 8
44.8	24	0 0 12
48.3	12	1 0 10
51.5	31	0 1 11
53.1	73	1 1 0
68.3	19	0 2 7

Unit cell a=3.4519 b=3.4519 c=24.2714 alpha=90.00 beta=90.00 gamma=120.00
Space group R3m (No. 160, hexagonal axes)
Unique sites:
Nb: 0.0000 0.0000 0.0000 x3
Ag: 0.0000 0.0000 0.1572 x3
Se: 0.0000 0.0000 0.2637 x3
Se: 0.0000 0.0000 0.7385 x3

Entry 9:
This entry pairs a crystal structure of NbSi2Ag with its theoretical X-ray powder pattern. Radiation: Cu Kα X-rays. Structure: DFT lattice parameters and positions (PBE).
Intensities are scaled so that the largest is 100.

Largest 12 diffraction maxima, by angle, 5° ≤ 2θ ≤ 70°:
two_theta	I/Imax	hkl
9.6	48	0 0 1
26.0	21	1 0 1
29.1	15	0 0 3
31.0	10	1 0 2
35.7	21	1 1 1
39.1	19	0 0 4
39.7	100	1 1 2
46.4	10	1 0 4
49.3	29	2 0 0
58.3	8	2 0 3
61.6	9	1 1 5
64.7	16	2 0 4

Unit cell a=3.694 b=3.694 c=9.221 alpha=90.00 beta=90.00 gamma=90.00
Space group P4/nmm (No. 129, origin choice 2)
Unique sites:
Nb: 0.250 0.250 0.212 x2
Si: 0.250 0.250 0.713 x2
Si: 0.250 0.750 0.000 x2
Ag: 0.250 0.750 0.500 x2

Entry 10:
This entry pairs a crystal structure of TbNbAg2Te4 with its theoretical X-ray powder pattern. Radiation: Cu Kα X-rays. Structure: DFT lattice parameters and positions (PBE).
Intensities are scaled so that the largest is 100.

Largest 12 diffraction maxima, by angle, 5° ≤ 2θ ≤ 70°:
two_theta	I/Imax	hkl
26.5	100	0 2 1
28.9	32	3 1 0
32.4	52	2 2 1
34.9	63	3 1 1
36.8	62	0 4 0
43.3	35	2 0 2
43.9	47	3 3 1
46.0	15	2 4 1
53.1	12	4 4 0
54.8	12	3 5 0
58.1	13	2 4 2
63.6	12	6 2 1

Unit cell a=9.753 b=9.775 c=4.625 alpha=90.00 beta=90.00 gamma=90.00
Space group Cmm2 (No. 35)
Unique sites:
Tb: 0.000 0.000 0.000 x2
Nb: 0.000 0.500 0.400 x2
Ag: 0.250 0.250 0.190 x4
Te: 0.000 0.210 0.496 x4
Te: 0.186 0.500 0.907 x4

Entry 11:
This entry pairs a crystal structure of Nb3AgTe4 with its theoretical X-ray powder pattern. Radiation: Cu Kα X-rays. Structure: DFT lattice parameters and positions (PBE).
Intensities are scaled so that the largest is 100.

Largest 12 diffraction maxima, by angle, 5° ≤ 2θ ≤ 70°:
two_theta	I/Imax	hkl
26.4	54	1 1 1
28.5	20	2 0 1
31.5	78	3 0 0
33.9	100	1 2 1
38.1	43	1 3 0
38.9	30	0 0 2
40.3	20	1 0 2
41.6	81	2 2 1
48.4	19	1 2 2
50.8	19	3 2 1
64.2	16	5 1 1
65.9	17	6 0 0

Unit cell a=9.8234 b=9.8234 c=4.6353 alpha=90.00 beta=90.00 gamma=120.00
Space group P6_3/m (No. 176)
Unique sites:
Nb: 0.1425 0.6387 0.2500 x6
Ag: 0.0000 0.0000 0.0000 x2
Te: 0.0165 0.3133 0.2500 x6
Te: 0.3333 0.6667 0.7500 x2

Entry 12:
This entry pairs a crystal structure of NdAgPbO3 with its theoretical X-ray powder pattern. Radiation: Cu Kα X-rays. Structure: DFT lattice parameters and positions (PBE).
Intensities are scaled so that the largest is 100.

Largest 12 diffraction maxima, by angle, 5° ≤ 2θ ≤ 70°:
two_theta	I/Imax	hkl
20.3	16	0 0 2
24.5	71	0 2 2
31.5	100	1 3 0
32.2	63	1 1 2
34.2	27	0 4 2
41.3	29	0 0 4
41.4	19	0 6 0
47.2	27	1 5 2
48.7	18	2 0 0
52.8	46	1 3 4
55.3	16	2 2 2
65.7	14	2 0 4

Unit cell a=3.737 b=13.081 c=8.754 alpha=90.00 beta=90.00 gamma=90.00
Space group Cmcm (No. 63)
Unique sites:
Nd: 0.000 0.000 0.000 x4
Ag: 0.000 0.364 0.250 x4
Pb: 0.000 0.321 0.750 x4
O: 0.000 0.071 0.250 x4
O: 0.000 0.386 0.014 x8